(1)
Diffraction record for Sr3InPd3. The XRD peak list is computed, not measured: it uses the PBE geometry in Alexandria and Cu Kα X-rays.
Intensities are scaled so that the largest is 1000.

Principal peaks in the range 2θ = 10–90°, in order of falling intensity:
2.502 Å, 2θ 35.90, I = 1000, (1 3 3); 2.761 Å, 2θ 32.43, I = 815, (1 1 4); 2.906 Å, 2θ 30.77, I = 568, (1 3 0); 2.235 Å, 2θ 40.36, I = 474, (2 0 0); 2.478 Å, 2θ 36.26, I = 393, (0 4 3); 1.539 Å, 2θ 60.12, I = 263, (1 7 0); 4.528 Å, 2θ 19.60, I = 248, (0 2 2); 3.178 Å, 2θ 28.08, I = 233, (1 1 3); 2.117 Å, 2θ 42.71, I = 230, (1 1 6); 1.660 Å, 2θ 55.36, I = 227, (2 4 3); 5.347 Å, 2θ 16.58, I = 208, (0 2 1); 2.458 Å, 2θ 36.55, I = 206, (0 0 6)

Structural model:
a b c (Å): 4.4698 11.4746 14.7493
angles (deg): 90.00 90.00 90.00
Space group Cmcm (No. 63)
Asymmetric unit:
Sr1 0.0000 0.0130 0.2500 x4
Sr2 0.0000 0.2908 0.1061 x8
In1 0.0000 0.0000 0.0000 x4
Pd1 0.0000 0.2863 0.7500 x4
Pd2 0.0000 0.4210 0.5900 x8

---

(2)
Diffraction record for SrIn2Pd6. The XRD peak list is computed, not measured: it uses the PBE geometry in Alexandria and Cu Kα X-rays.
Intensities are scaled so that the largest is 1000.

Principal peaks in the range 2θ = 10–90°, in order of falling intensity:
2.089 Å, 2θ 43.31, I = 1000, (4 4 0); 2.955 Å, 2θ 30.25, I = 366, (4 0 0); 1.206 Å, 2θ 79.45, I = 312, (8 4 4); 3.563 Å, 2θ 24.99, I = 279, (3 1 1); 2.274 Å, 2θ 39.63, I = 167, (5 1 1); 1.477 Å, 2θ 62.91, I = 157, (8 0 0); 3.412 Å, 2θ 26.12, I = 155, (2 2 2); 4.178 Å, 2θ 21.26, I = 115, (2 2 0); 1.321 Å, 2θ 71.39, I = 110, (8 4 0); 1.706 Å, 2θ 53.74, I = 91, (4 4 4); 1.782 Å, 2θ 51.28, I = 71, (6 2 2); 1.539 Å, 2θ 60.14, I = 62, (5 5 3)

Structural model:
a b c (Å): 11.8182 11.8182 11.8182
angles (deg): 90.00 90.00 90.00
Space group Fd-3m (No. 227, origin choice 2)
Asymmetric unit:
Sr1 0.1250 0.1250 0.1250 x8
In1 0.0000 0.0000 0.5000 x16
Pd1 0.1164 0.3750 0.3750 x48

---

(3)
Diffraction record for SrIn12Pd6. The XRD peak list is computed, not measured: it uses the PBE geometry in Alexandria and Cu Kα X-rays.
Intensities are scaled so that the largest is 1000.

Principal peaks in the range 2θ = 10–90°, in order of falling intensity:
2.867 Å, 2θ 31.19, I = 1000, (1 3 1); 2.406 Å, 2θ 37.37, I = 720, (3 2 1); 2.840 Å, 2θ 31.50, I = 655, (1 1 3); 1.974 Å, 2θ 45.97, I = 622, (5 0 2); 2.390 Å, 2θ 37.63, I = 619, (0 3 3); 2.187 Å, 2θ 41.27, I = 495, (0 2 4); 2.357 Å, 2θ 38.18, I = 353, (0 4 2); 7.171 Å, 2θ 12.34, I = 287, (1 0 1); 2.206 Å, 2θ 40.91, I = 284, (2 3 2); 1.614 Å, 2θ 57.08, I = 271, (3 1 5); 6.257 Å, 2θ 14.16, I = 208, (1 1 0); 2.545 Å, 2θ 35.27, I = 206, (3 1 2)

Structural model:
a b c (Å): 12.5136 12.5136 9.5634
angles (deg): 90.00 90.00 120.00
Space group R-3m (No. 166, hexagonal axes)
Asymmetric unit:
Sr1 0.0000 0.0000 0.0000 x3
In1 0.0000 0.3831 0.5000 x18
In2 0.0854 0.1707 0.3251 x18
Pd1 0.0479 0.5239 0.2472 x18

---

(4)
Diffraction record for TaIn3Pd12. The XRD peak list is computed, not measured: it uses the PBE geometry in Alexandria and Cu Kα X-rays.
Intensities are scaled so that the largest is 1000.

Principal peaks in the range 2θ = 10–90°, in order of falling intensity:
2.321 Å, 2θ 38.80, I = 1000, (1 1 4); 2.003 Å, 2θ 45.27, I = 326, (2 0 0); 1.209 Å, 2θ 79.22, I = 241, (3 1 4); 1.424 Å, 2θ 65.56, I = 200, (2 0 8); 2.024 Å, 2θ 44.77, I = 160, (0 0 8); 1.218 Å, 2θ 78.50, I = 113, (1 1 12); 1.417 Å, 2θ 65.95, I = 105, (2 2 0); 1.161 Å, 2θ 83.25, I = 103, (2 2 8); 8.098 Å, 2θ 10.93, I = 14, (0 0 2); 2.132 Å, 2θ 42.39, I = 7, (1 1 5); 5.398 Å, 2θ 16.42, I = 6, (0 0 3); 4.006 Å, 2θ 22.19, I = 5, (1 0 0)

Structural model:
a b c (Å): 4.0065 4.0065 16.1951
angles (deg): 90.00 90.00 90.00
Space group P4/mmm (No. 123)
Asymmetric unit:
Ta1 0.0000 0.0000 0.0000 x1
In1 0.0000 0.0000 0.2502 x2
In2 0.0000 0.0000 0.5000 x1
Pd1 0.0000 0.5000 0.1173 x4
Pd2 0.0000 0.5000 0.3734 x4
Pd3 0.5000 0.5000 0.0000 x1
Pd4 0.5000 0.5000 0.2449 x2
Pd5 0.5000 0.5000 0.5000 x1

---

(5)
Diffraction record for TaIn2Pd8. The XRD peak list is computed, not measured: it uses the PBE geometry in Alexandria and Cu Kα X-rays.
Intensities are scaled so that the largest is 1000.

Principal peaks in the range 2θ = 10–90°, in order of falling intensity:
2.318 Å, 2θ 38.85, I = 1000, (0 4 1); 2.243 Å, 2θ 40.21, I = 886, (3 1 1); 2.107 Å, 2θ 42.92, I = 387, (0 0 2); 2.196 Å, 2θ 41.10, I = 360, (3 3 0); 1.176 Å, 2θ 81.96, I = 226, (6 4 1); 1.520 Å, 2θ 60.94, I = 221, (3 3 2); 1.722 Å, 2θ 53.18, I = 220, (3 5 0); 1.334 Å, 2θ 70.64, I = 185, (3 5 2); 1.253 Å, 2θ 75.91, I = 137, (0 4 3); 1.241 Å, 2θ 76.81, I = 129, (3 1 3); 1.304 Å, 2θ 72.48, I = 117, (3 7 1); 4.092 Å, 2θ 21.72, I = 116, (2 0 0)

Structural model:
a b c (Å): 8.1839 11.1044 4.2141
angles (deg): 90.00 90.00 90.00
Space group Cmmm (No. 65)
Asymmetric unit:
Ta1 0.0000 0.0000 0.0000 x2
In1 0.0000 0.3703 0.5000 x4
Pd1 0.0000 0.2343 0.0000 x4
Pd2 0.1673 0.1255 0.5000 x8
Pd3 0.1721 0.5000 0.0000 x4

---

(6)
Diffraction record for Tb2In8Pd. The XRD peak list is computed, not measured: it uses the PBE geometry in Alexandria and Cu Kα X-rays.
Intensities are scaled so that the largest is 1000.

Principal peaks in the range 2θ = 10–90°, in order of falling intensity:
2.563 Å, 2θ 35.01, I = 1000, (1 1 3); 2.343 Å, 2θ 38.41, I = 514, (2 0 0); 1.392 Å, 2θ 67.28, I = 312, (3 1 3); 2.908 Å, 2θ 30.75, I = 272, (1 1 2); 1.685 Å, 2θ 54.44, I = 183, (2 0 5); 1.657 Å, 2θ 55.45, I = 173, (2 2 0); 2.426 Å, 2θ 37.06, I = 143, (0 0 5); 1.379 Å, 2θ 68.00, I = 129, (1 1 8); 1.368 Å, 2θ 68.59, I = 90, (2 2 5); 1.531 Å, 2θ 60.49, I = 74, (2 0 6); 2.237 Å, 2θ 40.32, I = 69, (1 1 4); 1.440 Å, 2θ 64.75, I = 62, (3 1 2)

Structural model:
a b c (Å): 4.6866 4.6866 12.1284
angles (deg): 90.00 90.00 90.00
Space group P4/mmm (No. 123)
Asymmetric unit:
Tb1 0.0000 0.0000 0.1891 x2
In1 0.0000 0.5000 0.0000 x2
In2 0.0000 0.5000 0.3735 x4
In3 0.5000 0.5000 0.1913 x2
Pd1 0.0000 0.0000 0.5000 x1

---

(7)
Diffraction record for TbIn2Pd. The XRD peak list is computed, not measured: it uses the PBE geometry in Alexandria and Cu Kα X-rays.
Intensities are scaled so that the largest is 1000.

Principal peaks in the range 2θ = 10–90°, in order of falling intensity:
2.659 Å, 2θ 33.70, I = 1000, (5 0 1); 2.669 Å, 2θ 33.57, I = 857, (3 3 2); 2.774 Å, 2θ 32.27, I = 627, (4 0 2); 2.403 Å, 2θ 37.42, I = 577, (3 2 3); 2.314 Å, 2θ 38.91, I = 484, (6 0 0); 2.562 Å, 2θ 35.03, I = 383, (3 0 3); 2.246 Å, 2θ 40.16, I = 332, (1 1 4); 2.271 Å, 2θ 39.69, I = 313, (4 1 3); 2.576 Å, 2θ 34.83, I = 282, (4 2 2); 2.455 Å, 2θ 36.61, I = 263, (4 4 0); 1.430 Å, 2θ 65.22, I = 241, (7 3 4); 1.495 Å, 2θ 62.07, I = 184, (7 1 4)

Structural model:
a b c (Å): 13.8861 13.8861 9.2272
angles (deg): 90.00 90.00 90.00
Space group I4mm (No. 107)
Asymmetric unit:
Tb1 0.0000 0.0000 0.0000 x2
Tb2 0.0000 0.0000 0.4713 x2
Tb3 0.0000 0.2801 0.3984 x8
Tb4 0.2020 0.2020 0.8847 x8
In1 0.0000 0.1633 0.7278 x8
In2 0.0000 0.3828 0.8740 x8
In3 0.1310 0.1310 0.2331 x8
In4 0.1421 0.3502 0.1352 x16
Pd1 0.0000 0.2139 0.0349 x8
Pd2 0.0000 0.5000 0.1246 x4
Pd3 0.1605 0.1605 0.5419 x8

---

(8)
Diffraction record for Tb3In2Pd6. The XRD peak list is computed, not measured: it uses the PBE geometry in Alexandria and Cu Kα X-rays.
Intensities are scaled so that the largest is 1000.

Principal peaks in the range 2θ = 10–90°, in order of falling intensity:
2.285 Å, 2θ 39.44, I = 1000, (3 3 0); 2.798 Å, 2θ 31.98, I = 311, (2 2 2); 1.319 Å, 2θ 71.52, I = 275, (6 3 3); 2.591 Å, 2θ 34.62, I = 233, (3 2 1); 3.065 Å, 2θ 29.13, I = 160, (3 1 0); 1.461 Å, 2θ 63.68, I = 157, (6 2 2); 2.168 Å, 2θ 41.67, I = 149, (4 2 0); 6.855 Å, 2θ 12.92, I = 148, (1 1 0); 2.423 Å, 2θ 37.10, I = 144, (4 0 0); 1.193 Å, 2θ 80.49, I = 120, (7 4 1); 1.573 Å, 2θ 58.71, I = 111, (5 3 2); 1.770 Å, 2θ 51.64, I = 103, (5 2 1)

Structural model:
a b c (Å): 9.6939 9.6939 9.6939
angles (deg): 90.00 90.00 90.00
Space group Im-3m (No. 229)
Asymmetric unit:
Tb1 0.0000 0.0000 0.2931 x12
In1 0.2500 0.2500 0.2500 x8
Pd1 0.0000 0.3446 0.3446 x24